(1)
Tm3TcB7: simulated powder diffractogram (copper Kα), based on a DFT-relaxed cell (PBE, Alexandria).
No peak broadening, texture or thermal motion is included.

Largest 10 diffraction maxima, sorted by position, 2θ from 15° to 90°:
d 3.417, I = 98; d 2.980, I = 95; d 2.870, I = 73; d 2.771, I = 40; d 2.596, I = 40; d 2.328, I = 32; d 2.291, I = 100; d 2.257, I = 51; d 2.080, I = 40; d 1.604, I = 33

Atomic structure:
```
data_Tm3TcB7
_chemical_formula_sum 'Tm6 Tc2 B14'
_cell_length_a 7.9811
_cell_length_b 7.9811
_cell_length_c 9.2609
_cell_angle_alpha 90.00
_cell_angle_beta 90.00
_cell_angle_gamma 154.65
_symmetry_space_group_name_H-M 'P 1'
_symmetry_Int_Tables_number 1
loop_
_symmetry_equiv_pos_as_xyz
'x,y,z'
loop_
_atom_site_label
_atom_site_type_symbol
_atom_site_fract_x
_atom_site_fract_y
_atom_site_fract_z
Tm1 Tm 0.1052 0.8948 0.5591
Tm2 Tm 0.1052 0.8948 0.9409
Tm3 Tm 0.2419 0.7581 0.2500
Tm4 Tm 0.7581 0.2419 0.7500
Tm5 Tm 0.8948 0.1052 0.0591
Tm6 Tm 0.8948 0.1052 0.4409
Tc1 Tc 0.0527 0.9473 0.2500
Tc2 Tc 0.9473 0.0527 0.7500
B1 B 0.2728 0.7272 0.5336
B2 B 0.2728 0.7272 0.9664
B3 B 0.3678 0.6322 0.6503
B4 B 0.3678 0.6322 0.8497
B5 B 0.4549 0.5451 0.2500
B6 B 0.4802 0.5198 0.5949
B7 B 0.4802 0.5198 0.9051
B8 B 0.5198 0.4802 0.0949
B9 B 0.5198 0.4802 0.4051
B10 B 0.5451 0.4549 0.7500
B11 B 0.6322 0.3678 0.1503
B12 B 0.6322 0.3678 0.3497
B13 B 0.7272 0.2728 0.0336
B14 B 0.7272 0.2728 0.4664
```

=====

(2)
Sr2Li12InPd3: simulated powder diffractogram (copper Kα), based on a DFT-relaxed cell (PBE, Alexandria).
No peak broadening, texture or thermal motion is included.

Largest 10 diffraction maxima, sorted by position, 2θ from 15° to 90°:
d 3.738, I = 58; d 3.620, I = 45; d 3.565, I = 59; d 3.430, I = 100; d 3.013, I = 30; d 2.864, I = 36; d 2.316, I = 38; d 2.086, I = 39; d 2.055, I = 25; d 1.821, I = 26

Atomic structure:
```
data_Sr2Li12InPd3
_chemical_formula_sum 'Sr2 Li12 In1 Pd3'
_cell_length_a 8.7299
_cell_length_b 8.7299
_cell_length_c 8.7299
_cell_angle_alpha 57.10
_cell_angle_beta 57.10
_cell_angle_gamma 57.10
_symmetry_space_group_name_H-M 'P 1'
_symmetry_Int_Tables_number 1
loop_
_symmetry_equiv_pos_as_xyz
'x,y,z'
loop_
_atom_site_label
_atom_site_type_symbol
_atom_site_fract_x
_atom_site_fract_y
_atom_site_fract_z
Sr1 Sr 0.0849 0.0849 0.0849
Sr2 Sr 0.9151 0.9151 0.9151
Li1 Li 0.0486 0.6481 0.6481
Li2 Li 0.2731 0.2731 0.6066
Li3 Li 0.2731 0.6066 0.2731
Li4 Li 0.3519 0.3519 0.9514
Li5 Li 0.3519 0.9514 0.3519
Li6 Li 0.3934 0.7269 0.7269
Li7 Li 0.6066 0.2731 0.2731
Li8 Li 0.6481 0.0486 0.6481
Li9 Li 0.6481 0.6481 0.0486
Li10 Li 0.7269 0.3934 0.7269
Li11 Li 0.7269 0.7269 0.3934
Li12 Li 0.9514 0.3519 0.3519
In1 In 0.5000 0.5000 0.5000
Pd1 Pd 0.0000 0.5000 0.5000
Pd2 Pd 0.5000 0.0000 0.5000
Pd3 Pd 0.5000 0.5000 0.0000
```